(1)
This entry pairs a crystal structure of LiNbSeS with its calculated powder diffractogram. Radiation: Cu Kα (λ = 1.5418 Å). Structure: a structure optimized by DFT (PBE).
Peak positions follow from Bragg's law for the DFT cell and can differ from measured ones.

Structure:
abc: 3.4450 3.4450 13.2608
angles: 90.00 90.00 120.00
Positions (direct):
Li 0.0000 0.0000 0.0000
Li 0.0000 0.0000 0.5000
Nb 0.0000 0.0000 0.2641
Nb 0.0000 0.0000 0.7641
Se 0.3333 0.6667 0.1358
Se 0.6667 0.3333 0.6358
S 0.3333 0.6667 0.3811
S 0.6667 0.3333 0.8811

Principal peaks in the range 10 to 90 degrees two-theta, by angle:
2θ/deg	intensity
13.4	100.0
30.7	46.1
32.9	58.7
36.3	26.5
40.7	89.8
45.8	15.8
51.5	16.0
53.2	37.2
69.0	18.0
80.4	21.2



(2)
This entry pairs a crystal structure of Pr2ErCu4Ge4 with its calculated powder diffractogram. Radiation: Cu Kα (λ = 1.5418 Å). Structure: a structure optimized by DFT (PBE).
Peak positions follow from Bragg's law for the DFT cell and can differ from measured ones.

Structure:
abc: 8.1617 8.1617 8.1617
angles: 149.21 131.92 58.19
Positions (direct):
Pr 0.1322 0.1322 0.0000
Pr 0.8678 0.8678 0.0000
Er 0.5000 0.0000 0.5000
Cu 0.1461 0.3329 0.8132
Cu 0.4803 0.6671 0.8132
Cu 0.5197 0.3329 0.1868
Cu 0.8539 0.6671 0.1868
Ge 0.1952 0.5000 0.6952
Ge 0.2864 0.7864 0.5000
Ge 0.7136 0.2136 0.5000
Ge 0.8048 0.5000 0.3048

Principal peaks in the range 10 to 90 degrees two-theta, by angle:
2θ/deg	intensity
34.2	27.7
34.6	94.1
35.3	100.0
37.8	22.6
41.7	40.4
45.1	28.3
46.9	15.1
63.1	20.2
71.5	17.0
80.1	14.4



(3)
This entry pairs a crystal structure of TlInCu2Te4 with its calculated powder diffractogram. Radiation: Cu Kα (λ = 1.5418 Å). Structure: a structure optimized by DFT (PBE).
Peak positions follow from Bragg's law for the DFT cell and can differ from measured ones.

Structure:
abc: 7.7529 7.7529 7.7529
angles: 131.99 131.99 70.24
Positions (direct):
Tl 0.0000 0.0000 0.0000
In 0.7500 0.2500 0.5000
Cu 0.2500 0.7500 0.5000
Cu 0.5000 0.5000 0.0000
Te 0.1642 0.6170 0.0359
Te 0.3830 0.4189 0.5472
Te 0.5811 0.1283 0.9641
Te 0.8717 0.8358 0.4528

Principal peaks in the range 10 to 90 degrees two-theta, by angle:
2θ/deg	intensity
24.4	100.0
25.4	8.4
32.5	12.2
40.3	50.9
40.4	23.5
47.6	16.3
47.8	28.0
64.2	11.3
73.3	7.8
73.5	12.5



(4)
This entry pairs a crystal structure of GaAu15 with its calculated powder diffractogram. Radiation: Cu Kα (λ = 1.5418 Å). Structure: a structure optimized by DFT (PBE).
Peak positions follow from Bragg's law for the DFT cell and can differ from measured ones.

Structure:
abc: 5.7746 4.1816 37.7500
angles: 90.00 90.09 90.00
Positions (direct):
Ga 0.1245 0.2500 0.2909
Ga 0.8755 0.7500 0.7091
Au 0.1206 0.2500 0.7389
Au 0.1237 0.2500 0.8219
Au 0.1250 0.2500 0.0589
Au 0.1251 0.2500 0.1377
Au 0.1250 0.2500 0.2167
Au 0.1251 0.2500 0.9012
Au 0.1252 0.2500 0.9801
Au 0.3709 0.7500 0.2610
Au 0.3737 0.7500 0.1781
Au 0.3752 0.7500 0.0197
Au 0.3752 0.7500 0.0986
Au 0.3749 0.7500 0.7070
Au 0.3749 0.7500 0.7844
Au 0.3751 0.7500 0.8620
Au 0.3750 0.7500 0.9407
Au 0.6250 0.2500 0.0593
Au 0.6249 0.2500 0.1380
Au 0.6251 0.2500 0.2156
Au 0.6251 0.2500 0.2930
Au 0.6248 0.2500 0.9014
Au 0.6248 0.2500 0.9803
Au 0.6263 0.2500 0.8219
Au 0.6291 0.2500 0.7390
Au 0.8748 0.7500 0.0199
Au 0.8749 0.7500 0.0988
Au 0.8750 0.7500 0.7833
Au 0.8749 0.7500 0.8623
Au 0.8750 0.7500 0.9411
Au 0.8763 0.7500 0.1781
Au 0.8794 0.7500 0.2611

Principal peaks in the range 10 to 90 degrees two-theta, by angle:
2θ/deg	intensity
35.7	44.9
37.7	57.4
37.9	100.0
42.5	27.9
43.3	34.5
44.2	36.8
62.3	18.3
63.6	25.3
74.4	13.4
75.8	13.7



(5)
This entry pairs a crystal structure of La3PrP2Br2 with its calculated powder diffractogram. Radiation: Cu Kα (λ = 1.5418 Å). Structure: a structure optimized by DFT (PBE).
Peak positions follow from Bragg's law for the DFT cell and can differ from measured ones.

Structure:
abc: 4.1951 4.1951 15.0687
angles: 90.00 90.00 120.00
Positions (direct):
La 0.0000 0.0000 0.0000
La 0.0000 0.0000 0.2956
La 0.6667 0.3333 0.5028
Pr 0.6667 0.3333 0.7965
P 0.3333 0.6667 0.3993
P 0.3333 0.6667 0.8971
Br 0.0000 0.0000 0.6513
Br 0.6667 0.3333 0.1478

Principal peaks in the range 10 to 90 degrees two-theta, by angle:
2θ/deg	intensity
24.5	21.5
25.2	9.6
30.4	100.0
34.3	9.5
35.8	8.2
43.1	33.0
43.8	12.6
53.7	19.9
57.2	12.6
71.2	17.0



(6)
This entry pairs a crystal structure of CsNb4Cl11 with its calculated powder diffractogram. Radiation: Cu Kα (λ = 1.5418 Å). Structure: a structure optimized by DFT (PBE).
Peak positions follow from Bragg's law for the DFT cell and can differ from measured ones.

Structure:
abc: 16.2689 7.0110 6.8447
angles: 90.00 90.00 90.00
Positions (direct):
Cs 0.2500 0.0000 0.0139
Cs 0.7500 0.0000 0.9861
Nb 0.0000 0.2853 0.5000
Nb 0.0000 0.7147 0.5000
Nb 0.1412 0.5000 0.6223
Nb 0.3588 0.5000 0.6223
Nb 0.5000 0.2853 0.5000
Nb 0.5000 0.7147 0.5000
Nb 0.6412 0.5000 0.3777
Nb 0.8588 0.5000 0.3777
Cl 0.0777 0.2488 0.8149
Cl 0.0777 0.7512 0.8149
Cl 0.0829 0.0000 0.3637
Cl 0.0858 0.5000 0.2884
Cl 0.2500 0.2678 0.4860
Cl 0.2500 0.5000 0.9054
Cl 0.2500 0.7322 0.4860
Cl 0.4142 0.5000 0.2884
Cl 0.4171 0.0000 0.3637
Cl 0.4223 0.2488 0.8149
Cl 0.4223 0.7512 0.8149
Cl 0.5777 0.2488 0.1851
Cl 0.5777 0.7512 0.1851
Cl 0.5829 0.0000 0.6363
Cl 0.5858 0.5000 0.7116
Cl 0.7500 0.2678 0.5140
Cl 0.7500 0.5000 0.0946
Cl 0.7500 0.7322 0.5140
Cl 0.9142 0.5000 0.7116
Cl 0.9171 0.0000 0.6363
Cl 0.9223 0.2488 0.1851
Cl 0.9223 0.7512 0.1851

Principal peaks in the range 10 to 90 degrees two-theta, by angle:
2θ/deg	intensity
12.6	23.4
12.9	62.0
16.9	62.8
18.1	56.5
18.9	25.1
27.7	31.0
33.1	25.3
34.2	39.2
36.3	100.0
47.6	34.3



(7)
This entry pairs a crystal structure of GdYSc2Sb2 with its calculated powder diffractogram. Radiation: Cu Kα (λ = 1.5418 Å). Structure: a structure optimized by DFT (PBE).
Peak positions follow from Bragg's law for the DFT cell and can differ from measured ones.

Structure:
abc: 8.7273 8.7273 8.7273
angles: 151.08 151.08 41.36
Positions (direct):
Gd 0.0000 0.0000 0.0000
Y 0.6475 0.6475 0.0000
Sc 0.3238 0.8238 0.5000
Sc 0.8238 0.3238 0.5000
Sb 0.1936 0.1936 0.0000
Sb 0.4542 0.4542 0.0000

Principal peaks in the range 10 to 90 degrees two-theta, by angle:
2θ/deg	intensity
21.8	29.5
29.0	90.3
31.0	64.4
32.9	27.8
34.3	76.8
36.5	100.0
41.4	71.7
53.9	27.2
54.8	59.6
71.0	27.3



(8)
This entry pairs a crystal structure of Zr4Mo2S3N3 with its calculated powder diffractogram. Radiation: Cu Kα (λ = 1.5418 Å). Structure: a structure optimized by DFT (PBE).
Peak positions follow from Bragg's law for the DFT cell and can differ from measured ones.

Structure:
abc: 5.7702 5.7702 12.2928
angles: 102.50 102.50 60.25
Positions (direct):
Zr 0.0110 0.2210 0.0995
Zr 0.1575 0.2981 0.4007
Zr 0.2210 0.0110 0.5995
Zr 0.2981 0.1575 0.9007
Zr 0.7019 0.8425 0.0993
Zr 0.7790 0.9890 0.4005
Zr 0.8425 0.7019 0.5993
Zr 0.9890 0.7790 0.9005
Mo 0.4146 0.5283 0.0986
Mo 0.4717 0.5854 0.4014
Mo 0.5283 0.4146 0.5986
Mo 0.5854 0.4717 0.9014
S 0.1073 0.8927 0.2500
S 0.2599 0.4208 0.7432
S 0.4208 0.2599 0.2432
S 0.5792 0.7401 0.7568
S 0.7401 0.5792 0.2568
S 0.8927 0.1073 0.7500
N 0.0000 0.5000 0.0000
N 0.1504 0.6743 0.4991
N 0.3257 0.8496 0.0009
N 0.5000 0.0000 0.5000
N 0.6743 0.1504 0.9991
N 0.8496 0.3257 0.5009

Principal peaks in the range 10 to 90 degrees two-theta, by angle:
2θ/deg	intensity
14.9	27.6
30.0	32.6
30.9	31.1
31.0	44.2
31.8	48.1
38.2	98.7
38.5	92.5
38.9	100.0
45.7	28.8
55.0	46.4



> Number 6 is which compound?

CsNb4Cl11